Starting from a crystal structure in Alexandria, relaxed with PBE, the powder diffraction line list of PaTl2HgCl6 was calculated for Cu Kα.
Intensities are scaled so that the largest is 100.

Main lines, by angle (15 to 90 degrees two-theta):
- hkl 0 1 2, 2θ = 15.13°, 5.857 Å, I 66
- hkl 1 0 4, 2θ = 20.58°, 4.315 Å, I 53
- hkl 1 1 0, 2θ = 22.30°, 3.987 Å, I 100
- hkl 0 2 4, 2θ = 30.53°, 2.928 Å, I 18
- hkl 1 1 6, 2θ = 33.10°, 2.706 Å, I 95
- hkl 2 1 4, 2θ = 38.13°, 2.360 Å, I 25
- hkl 3 0 0, 2θ = 39.13°, 2.302 Å, I 38
- hkl 2 2 0, 2θ = 45.50°, 1.993 Å, I 18
- hkl 3 0 6, 2θ = 46.52°, 1.952 Å, I 25
- hkl 4 -2 6, 2θ = 52.17°, 1.753 Å, I 24
- hkl 1 4 0, 2θ = 61.54°, 1.507 Å, I 17
- hkl 5 -4 6, 2θ = 67.11°, 1.395 Å, I 21

Structure:
Cell: 7.9740 7.9740 22.1107 Å, 90.00 90.00 120.00°
Space group R3 (No. 146, hexagonal axes)
Unique sites:
Pa (0.0000, 0.0000, 0.0000) x3
Tl (0.0000, 0.0000, 0.1888) x3
Tl (0.0000, 0.0000, 0.6584) x3
Hg (0.0000, 0.0000, 0.4936) x3
Cl (0.0297, 0.2908, 0.9331) x9
Cl (0.0949, 0.7166, 0.7387) x9